Structure and calculated XRD peak list of HgAsCl5 (the PBE geometry in Alexandria; CuKα).

Top 10 peaks for 5° ≤ 2θ ≤ 70°, sorted by position:
two_theta, I_rel
14.5, 20
16.9, 100
20.5, 35
20.6, 35
26.7, 63
30.7, 26
34.0, 20
40.0, 25
42.8, 17
43.0, 18

Crystal structure
```
data_HgAsCl5
_cell_length_a 8.626
_cell_length_b 8.680
_cell_length_c 6.614
_cell_angle_alpha 90.00
_cell_angle_beta 90.00
_cell_angle_gamma 90.00
_space_group_name_H-M_alt 'I m m 2'
_space_group_IT_number 44
_space_group_name_Hall 'I 2 -2'
loop_
_atom_site_label
_atom_site_type_symbol
_atom_site_fract_x
_atom_site_fract_y
_atom_site_fract_z
Hg1 Hg 0.000 0.000 0.000
As1 As 0.000 0.500 0.774
Cl1 Cl 0.000 0.212 0.732
Cl2 Cl 0.000 0.500 0.103
Cl3 Cl 0.206 0.000 0.279
```

Structure and calculated XRD peak list of In2Hg4AsCl5 (the PBE geometry in Alexandria; CuKα).

Top 10 peaks for 5° ≤ 2θ ≤ 70°, sorted by position:
two_theta, I_rel
9.8, 71
15.4, 51
23.8, 83
24.2, 91
25.1, 100
31.1, 35
31.4, 33
32.7, 62
41.4, 98
43.9, 35

Crystal structure
```
data_In2Hg4AsCl5
_cell_length_a 8.992
_cell_length_b 13.549
_cell_length_c 6.357
_cell_angle_alpha 90.00
_cell_angle_beta 90.00
_cell_angle_gamma 90.00
_space_group_name_H-M_alt 'A m m 2'
_space_group_IT_number 38
_space_group_name_Hall 'A 2 -2'
loop_
_atom_site_label
_atom_site_type_symbol
_atom_site_fract_x
_atom_site_fract_y
_atom_site_fract_z
In1 In 0.000 0.185 0.000
Hg1 Hg 0.304 0.000 0.431
Hg2 Hg 0.500 0.204 0.145
As1 As 0.500 0.000 0.139
Cl1 Cl 0.000 0.000 0.254
Cl2 Cl 0.246 0.142 0.703
```

Structure and calculated XRD peak list of Na2HgAsCl6 (the PBE geometry in Alexandria; CuKα).

Top 10 peaks for 5° ≤ 2θ ≤ 70°, sorted by position:
two_theta, I_rel
17.3, 100
23.6, 47
25.4, 28
29.1, 39
35.0, 27
38.1, 60
40.5, 26
43.8, 25
44.9, 29
55.5, 16

Crystal structure
```
data_Na2HgAsCl6
_cell_length_a 6.997
_cell_length_b 7.000
_cell_length_c 7.561
_cell_angle_alpha 62.50
_cell_angle_beta 62.55
_cell_angle_gamma 60.06
_space_group_name_H-M_alt 'P 1'
_space_group_IT_number 1
_space_group_name_Hall 'P 1'
loop_
_atom_site_label
_atom_site_type_symbol
_atom_site_fract_x
_atom_site_fract_y
_atom_site_fract_z
Na1 Na 0.000 0.000 0.000
Na2 Na 0.487 0.487 0.537
Hg1 Hg 0.192 0.192 0.425
As1 As 0.683 0.683 0.950
Cl1 Cl 0.042 0.783 0.731
Cl2 Cl 0.319 0.597 0.193
Cl3 Cl 0.443 0.042 0.730
Cl4 Cl 0.597 0.890 0.193
Cl5 Cl 0.782 0.443 0.731
Cl6 Cl 0.890 0.321 0.193
```